For MgFe6O4F8, a DFT-relaxed cell (GGA+U, Alexandria) gives the theoretical PXRD pattern in this record (Cu Kα (λ = 1.5418 Å)).
Intensities are scaled so that the largest is 100.

Principal peaks in the range 2θ from 10° to 80°, in order of rising 2θ:
h k l  Position (°2θ)  I/Imax
1 -1 0  20.1  71
-1 1 1  24.2  100
0 1 -2  24.4  47
1 1 0  27.8  53
1 1 1  32.4  33
0 1 -3  34.3  31
1 0 3  41.1  72
1 2 -2  43.0  76
-2 2 1  43.7  68
2 -1 3  50.0  24

```
data_MgFe6O4F8
_chemical_formula_sum 'Mg1 Fe6 O4 F8'
_cell_length_a 5.1468
_cell_length_b 6.0157
_cell_length_c 8.0438
_cell_angle_alpha 103.40
_cell_angle_beta 91.55
_cell_angle_gamma 107.41
_space_group_name_H-M_alt 'P 1'
_space_group_IT_number 1
loop_
_space_group_symop_operation_xyz
'x,y,z'
loop_
_atom_site_label
_atom_site_fract_x
_atom_site_fract_y
_atom_site_fract_z
Mg1 0.0000 0.0000 0.0000
Fe1 0.9997 0.5053 0.0770
Fe2 0.5072 0.9550 0.2237
Fe3 0.5187 0.7777 0.5245
Fe4 0.5226 0.5707 0.8333
Fe5 0.9880 0.1315 0.6698
Fe6 0.9909 0.3639 0.3712
O1 0.2724 0.6643 0.2953
O2 0.7329 0.8593 0.7598
O3 0.7457 0.0444 0.4418
O4 0.7772 0.1943 0.1342
F1 0.2299 0.1313 0.2401
F2 0.2382 0.2893 0.9213
F3 0.2503 0.4598 0.6027
F4 0.2551 0.7933 0.9781
F5 0.2703 0.9631 0.6216
F6 0.7265 0.5491 0.4453
F7 0.7385 0.7226 0.0826
F8 0.8076 0.3809 0.8181
```